# 1
Computed powder XRD pattern of H6S3Cl for copper Kα, from a PBE-relaxed structure.

Structure:
Cell lengths 6.5770, 6.5770, 6.5770 Å; angles 114.97, 114.97, 114.97 degrees
Fractional coordinates of all 10 atoms:
H  0.0902  0.0902  0.8196
H  0.0902  0.8196  0.0902
H  0.1908  0.1908  0.6068
H  0.1908  0.6068  0.1908
H  0.6068  0.1908  0.1908
H  0.8196  0.0902  0.0902
S  0.5046  0.9333  0.9333
S  0.9333  0.5046  0.9333
S  0.9333  0.9333  0.5046
Cl  0.3101  0.3101  0.3101

Largest 10 diffraction maxima, sorted by position, 2θ from 15° to 90°:
2θ (°)	I/Imax
27.17	100
27.86	22
31.68	44
32.28	57
41.26	10
42.69	18
44.52	12
51.75	12
58.68	17
62.32	9



# 2
Computed powder XRD pattern of Rb2Hg5H2 for copper Kα, from a PBE-relaxed structure.

Structure:
Cell lengths 12.1841, 12.1841, 12.1841 Å; angles 100.72, 82.37, 161.20 degrees
Fractional coordinates of all 18 atoms:
Rb  0.0000  0.0000  0.0000
Rb  0.0000  0.5000  0.5000
Rb  0.0026  0.2428  0.2598
Rb  0.9830  0.7428  0.7402
Hg  0.2047  0.6605  0.8108
Hg  0.2047  0.8938  0.0442
Hg  0.3068  0.2376  0.5692
Hg  0.3443  0.0609  0.3774
Hg  0.3443  0.4669  0.7834
Hg  0.6684  0.7376  0.4308
Hg  0.6836  0.5609  0.2166
Hg  0.6836  0.9669  0.6226
Hg  0.8497  0.1605  0.9558
Hg  0.8497  0.3938  0.1892
H  0.4591  0.1187  0.5860
H  0.4591  0.3731  0.8404
H  0.5327  0.6187  0.1596
H  0.5327  0.8731  0.4140

Largest 10 diffraction maxima, sorted by position, 2θ from 15° to 90°:
2θ (°)	I/Imax
25.06	47
29.17	100
29.94	13
30.29	48
35.47	69
37.95	18
45.26	20
45.60	14
55.05	32
55.95	14



# 3
Computed powder XRD pattern of Na3Ga8Sn3 for copper Kα, from a PBE-relaxed structure.

Structure:
Cell lengths 8.9077, 8.9077, 8.9077 Å; angles 151.03, 106.84, 80.53 degrees
Fractional coordinates of all 14 atoms:
Na  0.0000  0.0000  0.0000
Na  0.3085  0.3085  0.0000
Na  0.6915  0.6915  0.0000
Ga  0.0472  0.6667  0.3805
Ga  0.1028  0.8387  0.2642
Ga  0.2862  0.6667  0.6195
Ga  0.4255  0.1613  0.2642
Ga  0.5745  0.8387  0.7358
Ga  0.7138  0.3333  0.3805
Ga  0.8972  0.1613  0.7358
Ga  0.9528  0.3333  0.6195
Sn  0.2822  0.5000  0.7822
Sn  0.5000  0.0000  0.5000
Sn  0.7178  0.5000  0.2178

Largest 10 diffraction maxima, sorted by position, 2θ from 15° to 90°:
2θ (°)	I/Imax
16.70	22
21.32	24
21.63	16
32.85	100
34.96	26
39.79	28
40.48	29
44.47	24
58.06	19
68.83	14